# 1
Structure and calculated powder diffractogram of YSc12In3 (a crystal structure in Alexandria, relaxed with PBE; copper Kα).
Lines closer than 0.1° are merged.

Structure:
```
16
Lattice="4.5434 0.0000 0.0000 0.0000 4.5434 0.0000 0.0000 0.0000 18.5450" Properties=species:S:1:pos:R:3 pbc="T T T"
Y 0.0000 0.0000 0.0000
Sc 0.0000 2.2717 2.4792
Sc 0.0000 2.2717 7.0156
Sc 0.0000 2.2717 11.5294
Sc 0.0000 2.2717 16.0658
Sc 2.2717 0.0000 2.4792
Sc 2.2717 0.0000 7.0156
Sc 2.2717 0.0000 11.5294
Sc 2.2717 0.0000 16.0658
Sc 2.2717 2.2717 0.0000
Sc 2.2717 2.2717 4.7858
Sc 2.2717 2.2717 9.2725
Sc 2.2717 2.2717 13.7592
In 0.0000 0.0000 4.7627
In 0.0000 0.0000 9.2725
In 0.0000 0.0000 13.7824
```

Peak list (6 most intense, 10 to 80 degrees two-theta, in order of rising 2θ)
2θ = 19.54°, d = 4.543 Å, I 14; 2θ = 33.95°, d = 2.641 Å, I 100; 2θ = 38.85°, d = 2.318 Å, I 16; 2θ = 39.68°, d = 2.272 Å, I 32; 2θ = 56.74°, d = 1.623 Å, I 20; 2θ = 68.35°, d = 1.372 Å, I 23



# 2
Structure and calculated powder diffractogram of Y8Sc2In (a crystal structure in Alexandria, relaxed with PBE; copper Kα).
Lines closer than 0.1° are merged.

Structure:
```
11
Lattice="4.3823 -7.7027 0.0000 4.3823 7.7027 0.0000 -2.4482 0.0000 4.9894" Properties=species:S:1:pos:R:3 pbc="T T T"
Y 0.2679 1.7915 3.2328
Y 4.3823 4.4993 0.0000
Y 0.2679 -1.7915 3.2328
Y 3.0097 0.0000 1.0119
Y 3.3067 0.0000 3.9775
Y 6.0485 1.7915 1.7566
Y 4.3823 -4.4993 0.0000
Y 6.0485 -1.7915 1.7566
Sc 3.1582 3.0204 2.4947
Sc 3.1582 -3.0204 2.4947
In 0.0000 0.0000 0.0000
```

Peak list (6 most intense, 10 to 80 degrees two-theta, in order of rising 2θ)
2θ = 29.29°, d = 3.049 Å, I 54; 2θ = 31.30°, d = 2.858 Å, I 93; 2θ = 32.53°, d = 2.752 Å, I 71; 2θ = 33.03°, d = 2.712 Å, I 82; 2θ = 33.43°, d = 2.680 Å, I 100; 2θ = 34.70°, d = 2.585 Å, I 43



# 3
Structure and calculated powder diffractogram of Y5ScIn3 (a crystal structure in Alexandria, relaxed with PBE; copper Kα).
Lines closer than 0.1° are merged.

Structure:
```
18
Lattice="9.2926 0.0000 0.0000 -4.6463 8.0476 0.0000 0.0000 0.0000 6.6633" Properties=species:S:1:pos:R:3 pbc="T T T"
Y -1.4938 2.5874 1.6658
Y -3.1525 5.4602 4.9975
Y 2.9877 0.0000 1.6658
Y 1.4938 2.5874 4.9975
Y 0.0000 5.3651 0.0000
Y 0.0000 5.3651 3.3316
Y 4.6463 2.6825 0.0000
Y 4.6463 2.6825 3.3316
Y 6.3049 0.0000 4.9975
Y 3.1525 5.4602 1.6658
Sc 0.0000 0.0000 0.0000
Sc 0.0000 0.0000 3.3316
In -1.5814 2.7391 4.9975
In -3.0649 5.3085 1.6658
In 3.1628 0.0000 4.9975
In 1.5814 2.7391 1.6658
In 6.1298 0.0000 1.6658
In 3.0649 5.3085 4.9975
```

Peak list (6 most intense, 10 to 80 degrees two-theta, in order of rising 2θ)
2θ = 33.09°, d = 2.708 Å, I 83; 2θ = 33.40°, d = 2.683 Å, I 100; 2θ = 43.30°, d = 2.089 Å, I 21; 2θ = 47.73°, d = 1.906 Å, I 29; 2θ = 59.50°, d = 1.554 Å, I 28; 2θ = 66.02°, d = 1.415 Å, I 26